# Tb3PmAl3
Calculated powder diffractogram, Cu Kα. Input: a GGA-PBE-relaxed structure.
Lines closer than 0.1° are merged.

Largest 10 diffraction maxima, sorted by position, 2θ from 10° to 90°:
Position (°2θ), Rel. int.
24.33, 78
25.58, 35
34.40, 28
34.96, 26
35.59, 100
43.35, 17
43.82, 16
49.86, 19
62.39, 19
63.11, 18

Structural model:
abc: 7.3173 7.3173 6.9648
angles: 90.00 90.00 90.90
Positions (direct):
Tb  0.2378  0.2378  0.0000
Tb  0.2444  0.7556  0.0000
Tb  0.2501  0.7499  0.5000
Tb  0.7499  0.2501  0.5000
Tb  0.7556  0.2444  0.0000
Tb  0.7622  0.7622  0.0000
Pm  0.2428  0.2428  0.5000
Pm  0.7572  0.7572  0.5000
Al  0.0000  0.5000  0.2425
Al  0.0000  0.5000  0.7575
Al  0.5000  0.0000  0.2425
Al  0.5000  0.0000  0.7575
Al  0.5000  0.5000  0.2356
Al  0.5000  0.5000  0.7644

***

# NdCd2I6
Calculated powder diffractogram, Cu Kα. Input: a GGA-PBE-relaxed structure.
Lines closer than 0.1° are merged.

Largest 10 diffraction maxima, sorted by position, 2θ from 10° to 90°:
Position (°2θ), Rel. int.
11.28, 12
13.22, 21
22.67, 26
24.82, 100
31.85, 20
38.67, 38
41.14, 23
45.29, 20
46.50, 16
62.03, 13

Structural model:
abc: 9.1229 9.1229 9.1229
angles: 52.47 52.47 52.47
Positions (direct):
Nd  0.0000  0.0000  0.0000
Cd  0.2724  0.2724  0.2724
Cd  0.3935  0.3935  0.3935
I  0.0836  0.3899  0.7786
I  0.2238  0.9141  0.6113
I  0.3899  0.7786  0.0836
I  0.6113  0.2238  0.9141
I  0.7786  0.0836  0.3899
I  0.9141  0.6113  0.2238

***

# Ho4Er3Sc2
Calculated powder diffractogram, Cu Kα. Input: a GGA-PBE-relaxed structure.
Lines closer than 0.1° are merged.

Largest 10 diffraction maxima, sorted by position, 2θ from 10° to 90°:
Position (°2θ), Rel. int.
16.83, 15
31.04, 19
31.94, 100
32.11, 34
32.30, 44
32.74, 35
33.58, 43
33.71, 20
34.44, 16
39.05, 14

Structural model:
abc: 9.6448 9.6448 6.6228
angles: 92.67 92.67 60.61
Positions (direct):
Ho  0.1635  0.8022  0.9861
Ho  0.1890  0.4354  0.0895
Ho  0.1978  0.8365  0.5139
Ho  0.4354  0.1890  0.5895
Ho  0.5646  0.8110  0.4105
Ho  0.8022  0.1635  0.4861
Ho  0.8110  0.5646  0.9105
Ho  0.8365  0.1978  0.0139
Er  0.1091  0.1980  0.7405
Er  0.1980  0.1091  0.2405
Er  0.4921  0.5079  0.2500
Er  0.5079  0.4921  0.7500
Er  0.8020  0.8909  0.7595
Er  0.8909  0.8020  0.2595
Sc  0.1213  0.5486  0.6063
Sc  0.4514  0.8787  0.8937
Sc  0.5486  0.1213  0.1063
Sc  0.8787  0.4514  0.3937

***

# Dy12Ho5Zr2
Calculated powder diffractogram, Cu Kα. Input: a GGA-PBE-relaxed structure.
Lines closer than 0.1° are merged.

Largest 10 diffraction maxima, sorted by position, 2θ from 10° to 90°:
Position (°2θ), Rel. int.
29.49, 32
29.99, 17
30.41, 18
31.03, 18
31.35, 16
31.55, 100
32.19, 35
35.04, 25
49.56, 15
59.96, 22

Structural model:
abc: 9.7272 9.7272 9.4718
angles: 107.84 107.84 44.44
Positions (direct):
Dy  0.0051  0.0051  0.1845
Dy  0.0936  0.5902  0.9930
Dy  0.0976  0.5892  0.6229
Dy  0.4098  0.9064  0.0070
Dy  0.4108  0.9024  0.3771
Dy  0.4819  0.4819  0.3095
Dy  0.5181  0.5181  0.6905
Dy  0.5892  0.0976  0.6229
Dy  0.5902  0.0936  0.9930
Dy  0.9024  0.4108  0.3771
Dy  0.9064  0.4098  0.0070
Dy  0.9949  0.9949  0.8155
Ho  0.1852  0.1852  0.7099
Ho  0.2991  0.2991  0.2892
Ho  0.5000  0.5000  0.0000
Ho  0.7009  0.7009  0.7108
Ho  0.8148  0.8148  0.2901
Zr  0.1758  0.8242  0.5000
Zr  0.8242  0.1758  0.5000

***

# Sc3CuSi2
Calculated powder diffractogram, Cu Kα. Input: a GGA-PBE-relaxed structure.
Lines closer than 0.1° are merged.

Largest 10 diffraction maxima, sorted by position, 2θ from 10° to 90°:
Position (°2θ), Rel. int.
11.90, 24
18.72, 19
19.01, 21
32.88, 28
34.25, 64
35.59, 23
38.05, 100
41.65, 39
44.96, 28
45.33, 43

Structural model:
abc: 10.6536 4.0014 10.3869
angles: 90.00 90.00 90.00
Positions (direct):
Sc  0.0517  0.2500  0.1207
Sc  0.1283  0.7500  0.5694
Sc  0.2105  0.2500  0.8072
Sc  0.2895  0.7500  0.3072
Sc  0.3717  0.2500  0.0694
Sc  0.4483  0.7500  0.6207
Sc  0.5517  0.2500  0.3793
Sc  0.6283  0.7500  0.9306
Sc  0.7105  0.2500  0.6928
Sc  0.7895  0.7500  0.1928
Sc  0.8717  0.2500  0.4306
Sc  0.9483  0.7500  0.8793
Cu  0.1309  0.2500  0.3675
Cu  0.3691  0.7500  0.8675
Cu  0.6309  0.2500  0.1325
Cu  0.8691  0.7500  0.6325
Si  0.0190  0.7500  0.3147
Si  0.1905  0.7500  0.0065
Si  0.3095  0.2500  0.5065
Si  0.4810  0.2500  0.8147
Si  0.5190  0.7500  0.1853
Si  0.6905  0.7500  0.4935
Si  0.8095  0.2500  0.9935
Si  0.9810  0.2500  0.6853